[1]
Diffraction record for Li4Ac2In3Ga. The powder XRD pattern is calculated, not measured: it uses a cell relaxed with PBE and CuKα.

Principal peaks in the range 2θ from 10° to 90°, sorted by position:
(1 0 1), 20.12°, d 4.413, rel. 56
(1 0 2), 25.06°, d 3.553, rel. 31
(1 1 0), 25.83°, d 3.449, rel. 56
(1 1 1), 27.26°, d 3.271, rel. 39
(1 1 2), 31.15°, d 2.871, rel. 100
(1 0 3), 31.72°, d 2.821, rel. 98
(2 0 0), 36.87°, d 2.438, rel. 66
(1 0 5), 47.62°, d 1.910, rel. 26
(2 1 3), 49.41°, d 1.844, rel. 57
(3 1 2), 62.89°, d 1.478, rel. 27

Crystal structure
a = 4.875 Å, b = 4.875 Å, c = 10.377 Å
α = 90.00°, β = 90.00°, γ = 90.00°
Space group P-4m2 (No. 115)
Symmetry-distinct sites (fractional):
Li 0.000 0.000 0.000 [1 per cell]
Li 0.000 0.500 0.377 [2 per cell]
Li 0.500 0.500 0.000 [1 per cell]
Ac 0.000 0.500 0.743 [2 per cell]
In 0.000 0.000 0.500 [1 per cell]
In 0.000 0.500 0.119 [2 per cell]
Ga 0.500 0.500 0.500 [1 per cell]

---

[2]
Diffraction record for BaCa4Pb5. The powder XRD pattern is calculated, not measured: it uses a cell relaxed with PBE and CuKα.

Principal peaks in the range 2θ from 10° to 90°, sorted by position:
(0 1 0), 19.27°, d 4.606, rel. 45
(0 0 5), 23.77°, d 3.743, rel. 21
(1 0 0), 24.13°, d 3.689, rel. 27
(0 1 5), 30.78°, d 2.905, rel. 90
(1 1 0), 31.06°, d 2.879, rel. 100
(1 0 5), 34.13°, d 2.627, rel. 66
(0 2 0), 39.11°, d 2.303, rel. 27
(1 1 5), 39.49°, d 2.282, rel. 24
(1 2 5), 52.86°, d 1.732, rel. 40
(2 1 5), 59.36°, d 1.557, rel. 27

Crystal structure
a = 3.689 Å, b = 4.606 Å, c = 18.716 Å
α = 90.00°, β = 90.00°, γ = 90.00°
Space group Pmmm (No. 47)
Symmetry-distinct sites (fractional):
Ba 0.000 0.000 0.000 [1 per cell]
Ca 0.000 0.000 0.211 [2 per cell]
Ca 0.000 0.000 0.403 [2 per cell]
Pb 0.500 0.500 0.122 [2 per cell]
Pb 0.500 0.500 0.306 [2 per cell]
Pb 0.500 0.500 0.500 [1 per cell]

---

[3]
Diffraction record for UTcPtRh. The powder XRD pattern is calculated, not measured: it uses a cell relaxed with PBE and CuKα.

Principal peaks in the range 2θ from 10° to 90°, sorted by position:
(1 1 1), 38.54°, d 2.336, rel. 100
(0 0 2), 42.57°, d 2.124, rel. 19
(0 2 0), 44.99°, d 2.015, rel. 16
(2 0 0), 46.76°, d 1.943, rel. 14
(0 2 2), 63.65°, d 1.462, rel. 12
(2 0 2), 65.06°, d 1.434, rel. 11
(1 1 3), 75.21°, d 1.263, rel. 14
(1 3 1), 78.65°, d 1.216, rel. 13
(3 1 1), 81.23°, d 1.184, rel. 12
(2 2 2), 82.59°, d 1.168, rel. 11

Crystal structure
a = 3.886 Å, b = 4.030 Å, c = 4.248 Å
α = 90.00°, β = 90.00°, γ = 90.00°
Space group Pmmm (No. 47)
Symmetry-distinct sites (fractional):
U 0.000 0.000 0.000 [1 per cell]
Tc 0.500 0.500 0.000 [1 per cell]
Pt 0.000 0.500 0.500 [1 per cell]
Rh 0.500 0.000 0.500 [1 per cell]

---

[4]
Diffraction record for La2CdGa4Ir3. The powder XRD pattern is calculated, not measured: it uses a cell relaxed with PBE and CuKα.

Principal peaks in the range 2θ from 10° to 90°, sorted by position:
(1 1 1), 30.61°, d 2.921, rel. 26
(1 0 3), 32.24°, d 2.777, rel. 66
(1 1 2), 33.81°, d 2.651, rel. 100
(2 0 0), 42.16°, d 2.143, rel. 72
(1 1 4), 44.64°, d 2.030, rel. 39
(1 0 5), 46.62°, d 1.948, rel. 33
(2 1 3), 54.05°, d 1.697, rel. 31
(2 2 0), 61.15°, d 1.516, rel. 24
(2 1 5), 64.66°, d 1.442, rel. 25
(3 1 2), 71.74°, d 1.316, rel. 22

Crystal structure
a = 4.287 Å, b = 4.287 Å, c = 10.935 Å
α = 90.00°, β = 90.00°, γ = 90.00°
Space group P-4m2 (No. 115)
Symmetry-distinct sites (fractional):
La 0.000 0.500 0.237 [2 per cell]
Cd 0.000 0.000 0.500 [1 per cell]
Ga 0.000 0.000 0.000 [1 per cell]
Ga 0.000 0.500 0.641 [2 per cell]
Ga 0.500 0.500 0.000 [1 per cell]
Ir 0.000 0.500 0.871 [2 per cell]
Ir 0.500 0.500 0.500 [1 per cell]

---

[5]
Diffraction record for AcNi4Ge2. The powder XRD pattern is calculated, not measured: it uses a cell relaxed with PBE and CuKα.

Principal peaks in the range 2θ from 10° to 90°, sorted by position:
(1 0 1), 26.32°, d 3.386, rel. 27
(2 2 0), 33.04°, d 2.711, rel. 30
(2 1 1), 35.37°, d 2.538, rel. 100
(3 1 0), 37.08°, d 2.425, rel. 44
(2 2 1), 40.99°, d 2.202, rel. 18
(3 1 1), 44.41°, d 2.040, rel. 35
(0 0 2), 48.24°, d 1.887, rel. 21
(4 1 1), 55.05°, d 1.668, rel. 19
(3 1 2), 62.36°, d 1.489, rel. 19
(4 3 1), 65.73°, d 1.421, rel. 23

Crystal structure
a = 7.668 Å, b = 7.668 Å, c = 3.773 Å
α = 90.00°, β = 90.00°, γ = 90.00°
Space group P4_2/mnm (No. 136)
Symmetry-distinct sites (fractional):
Ac 0.000 0.000 0.000 [2 per cell]
Ni 0.084 0.351 0.500 [8 per cell]
Ge 0.224 0.776 0.500 [4 per cell]

---

[6]
Diffraction record for AgAu. The powder XRD pattern is calculated, not measured: it uses a cell relaxed with PBE and CuKα.

Principal peaks in the range 2θ from 10° to 90°, sorted by position:
(1 1 1), 36.00°, d 2.494, rel. 55
(4 0 -2), 36.72°, d 2.447, rel. 89
(0 0 3), 39.32°, d 2.291, rel. 61
(4 0 1), 39.53°, d 2.280, rel. 60
(1 1 -2), 40.54°, d 2.225, rel. 100
(3 1 0), 40.64°, d 2.220, rel. 96
(3 1 3), 63.06°, d 1.474, rel. 36
(5 1 -4), 68.64°, d 1.367, rel. 21
(1 1 -5), 75.04°, d 1.266, rel. 22
(7 1 1), 75.45°, d 1.260, rel. 21

Crystal structure
a = 11.042 Å, b = 2.848 Å, c = 7.141 Å
α = 90.00°, β = 105.71°, γ = 90.00°
Space group Cm (No. 8)
Symmetry-distinct sites (fractional):
Ag 0.000 0.000 0.000 [2 per cell]
Ag 0.058 0.000 0.620 [2 per cell]
Ag 0.167 0.500 0.333 [2 per cell]
Au 0.224 0.500 0.953 [2 per cell]
Au 0.331 0.000 0.666 [2 per cell]
Au 0.395 0.000 0.287 [2 per cell]

---

[7]
Diffraction record for AcTbAgAu. The powder XRD pattern is calculated, not measured: it uses a cell relaxed with PBE and CuKα.

Principal peaks in the range 2θ from 10° to 90°, sorted by position:
(1 1 1), 20.26°, d 4.384, rel. 5
(2 2 0), 33.38°, d 2.684, rel. 100
(3 1 1), 39.36°, d 2.289, rel. 3
(4 0 0), 47.93°, d 1.898, rel. 18
(3 3 1), 52.54°, d 1.742, rel. 1
(4 2 2), 59.66°, d 1.550, rel. 38
(4 4 0), 70.11°, d 1.342, rel. 12
(5 3 1), 73.84°, d 1.283, rel. 1
(6 2 0), 79.91°, d 1.200, rel. 17
(4 4 4), 89.41°, d 1.096, rel. 4

Crystal structure
a = 7.593 Å, b = 7.593 Å, c = 7.593 Å
α = 90.00°, β = 90.00°, γ = 90.00°
Space group F-43m (No. 216)
Symmetry-distinct sites (fractional):
Ac 0.000 0.000 0.000 [4 per cell]
Tb 0.000 0.000 0.500 [4 per cell]
Ag 0.250 0.250 0.750 [4 per cell]
Au 0.250 0.250 0.250 [4 per cell]

---

[8]
Diffraction record for La2Sc. The powder XRD pattern is calculated, not measured: it uses a cell relaxed with PBE and CuKα.

Principal peaks in the range 2θ from 10° to 90°, sorted by position:
(0 0 5), 25.26°, d 3.525, rel. 16
(1 0 0), 28.94°, d 3.086, rel. 25
(0 0 6), 30.43°, d 2.938, rel. 21
(0 1 2), 30.70°, d 2.912, rel. 20
(1 0 3), 32.78°, d 2.732, rel. 100
(0 1 6), 42.49°, d 2.128, rel. 14
(1 0 8), 50.93°, d 1.793, rel. 17
(1 1 0), 51.28°, d 1.781, rel. 20
(1 1 6), 60.81°, d 1.523, rel. 17
(0 2 3), 62.21°, d 1.492, rel. 15

Crystal structure
a = 3.5630 Å, b = 3.5630 Å, c = 17.6265 Å
α = 90.00°, β = 90.00°, γ = 120.00°
Space group P-3m1 (No. 164)
Symmetry-distinct sites (fractional):
La 0.3333 0.6667 0.0883 [2 per cell]
La 0.3333 0.6667 0.7284 [2 per cell]
Sc 0.3333 0.6667 0.4303 [2 per cell]

---

[9]
Diffraction record for NaPa2Br11. The powder XRD pattern is calculated, not measured: it uses a cell relaxed with PBE and CuKα.

Principal peaks in the range 2θ from 10° to 90°, sorted by position:
(0 2 0), 10.86°, d 8.147, rel. 33
(0 0 2), 11.96°, d 7.402, rel. 68
(1 2 1), 14.66°, d 6.041, rel. 100
(2 0 0), 15.62°, d 5.672, rel. 31
(1 2 3), 22.50°, d 3.952, rel. 28
(3 3 0), 28.77°, d 3.103, rel. 18
(1 4 3), 29.51°, d 3.027, rel. 47
(1 3 4), 30.26°, d 2.953, rel. 17
(1 4 5), 38.42°, d 2.343, rel. 21
(2 6 4), 44.34°, d 2.043, rel. 18

Crystal structure
a = 11.344 Å, b = 16.295 Å, c = 14.805 Å
α = 90.00°, β = 90.00°, γ = 90.00°
Space group Ibam (No. 72)
Symmetry-distinct sites (fractional):
Na 0.000 0.000 0.250 [4 per cell]
Pa 0.228 0.421 0.000 [8 per cell]
Br 0.000 0.500 0.000 [4 per cell]
Br 0.061 0.151 0.500 [8 per cell]
Br 0.149 0.323 0.131 [16 per cell]
Br 0.203 0.034 0.127 [16 per cell]

---

[10]
Diffraction record for Ni4PdPt. The powder XRD pattern is calculated, not measured: it uses a cell relaxed with PBE and CuKα.

Principal peaks in the range 2θ from 10° to 90°, sorted by position:
(0 0 1), 22.58°, d 3.937, rel. 20
(1 1 1), 27.23°, d 3.275, rel. 33
(1 -1 0), 35.58°, d 2.523, rel. 16
(0 2 0), 42.14°, d 2.145, rel. 52
(2 0 1), 42.26°, d 2.139, rel. 51
(1 1 2), 42.62°, d 2.121, rel. 100
(1 -1 2), 48.71°, d 1.870, rel. 67
(2 2 1), 50.69°, d 1.801, rel. 30
(3 1 0), 72.94°, d 1.297, rel. 20
(1 -3 2), 86.15°, d 1.129, rel. 12

Crystal structure
a = 4.474 Å, b = 4.486 Å, c = 4.525 Å
α = 81.76°, β = 60.47°, γ = 72.97°
Space group P-1 (No. 2)
Symmetry-distinct sites (fractional):
Ni 0.170 0.000 0.159 [2 per cell]
Ni 0.327 0.500 0.845 [2 per cell]
Pd 0.500 0.000 0.500 [1 per cell]
Pt 0.000 0.500 0.500 [1 per cell]

---

[11]
Diffraction record for Tb3SmMg4. The powder XRD pattern is calculated, not measured: it uses a cell relaxed with PBE and CuKα.

Principal peaks in the range 2θ from 10° to 90°, sorted by position:
(2 0 1), 23.30°, d 3.818, rel. 63
(0 2 0), 23.44°, d 3.795, rel. 31
(4 0 0), 33.18°, d 2.700, rel. 50
(2 2 1), 33.28°, d 2.692, rel. 100
(4 2 0), 41.02°, d 2.200, rel. 29
(4 0 2), 47.63°, d 1.909, rel. 18
(6 0 1), 53.71°, d 1.707, rel. 27
(6 2 1), 59.35°, d 1.557, rel. 38
(4 4 0), 59.54°, d 1.553, rel. 19
(8 0 2), 79.38°, d 1.207, rel. 16

Crystal structure
a = 10.802 Å, b = 7.591 Å, c = 5.399 Å
α = 90.00°, β = 90.00°, γ = 90.00°
Space group Pmma (No. 51)
Symmetry-distinct sites (fractional):
Tb 0.000 0.000 0.000 [2 per cell]
Tb 0.250 0.000 0.499 [2 per cell]
Tb 0.250 0.500 0.499 [2 per cell]
Sm 0.000 0.500 0.000 [2 per cell]
Mg 0.000 0.248 0.500 [4 per cell]
Mg 0.250 0.248 0.999 [4 per cell]

---

[12]
Diffraction record for BaAcTb. The powder XRD pattern is calculated, not measured: it uses a cell relaxed with PBE and CuKα.

Principal peaks in the range 2θ from 10° to 90°, sorted by position:
(0 0 2), 10.45°, d 8.468, rel. 11
(1 0 3), 27.50°, d 3.244, rel. 100
(0 0 6), 31.70°, d 2.823, rel. 15
(1 1 0), 31.93°, d 2.803, rel. 36
(1 1 6), 45.61°, d 1.989, rel. 22
(2 0 0), 45.78°, d 1.982, rel. 13
(1 0 9), 53.94°, d 1.700, rel. 10
(2 1 3), 54.24°, d 1.691, rel. 32
(2 0 6), 56.76°, d 1.622, rel. 11
(2 1 9), 73.38°, d 1.290, rel. 8

Crystal structure
a = 3.964 Å, b = 3.964 Å, c = 16.935 Å
α = 90.00°, β = 90.00°, γ = 90.00°
Space group I4mm (No. 107)
Symmetry-distinct sites (fractional):
Ba 0.000 0.000 0.000 [2 per cell]
Ac 0.000 0.000 0.312 [2 per cell]
Tb 0.000 0.000 0.672 [2 per cell]

---

[13]
Diffraction record for ThZr2Tc9. The powder XRD pattern is calculated, not measured: it uses a cell relaxed with PBE and CuKα.

Principal peaks in the range 2θ from 10° to 90°, sorted by position:
(0 1 8), 33.54°, d 2.672, rel. 25
(1 1 0), 34.00°, d 2.636, rel. 29
(0 2 1), 39.62°, d 2.275, rel. 31
(1 1 6), 39.88°, d 2.260, rel. 100
(2 0 2), 40.08°, d 2.250, rel. 16
(0 0 12), 41.10°, d 2.196, rel. 25
(2 0 5), 43.18°, d 2.095, rel. 17
(0 3 6), 64.83°, d 1.438, rel. 24
(2 2 0), 71.58°, d 1.318, rel. 21
(2 2 12), 86.01°, d 1.130, rel. 17

Crystal structure
a = 5.2729 Å, b = 5.2729 Å, c = 26.3539 Å
α = 90.00°, β = 90.00°, γ = 120.00°
Space group R-3m (No. 166, hexagonal axes)
Symmetry-distinct sites (fractional):
Th 0.0000 0.0000 0.0000 [3 per cell]
Zr 0.0000 0.0000 0.1428 [6 per cell]
Tc 0.0000 0.0000 0.3367 [6 per cell]
Tc 0.0000 0.0000 0.5000 [3 per cell]
Tc 0.0099 0.5050 0.9139 [18 per cell]

---

[14]
Diffraction record for AgHgI4. The powder XRD pattern is calculated, not measured: it uses a cell relaxed with PBE and CuKα.

Principal peaks in the range 2θ from 10° to 90°, sorted by position:
(1 0 0), 11.44°, d 7.736, rel. 21
(1 0 1), 15.03°, d 5.895, rel. 78
(1 1 2), 25.46°, d 3.499, rel. 100
(2 1 1), 27.58°, d 3.234, rel. 32
(2 0 2), 30.32°, d 2.948, rel. 30
(2 2 0), 32.74°, d 2.735, rel. 57
(2 1 3), 39.50°, d 2.281, rel. 21
(3 1 2), 41.92°, d 2.155, rel. 48
(3 2 1), 43.32°, d 2.088, rel. 23
(2 0 4), 46.24°, d 1.963, rel. 36

Crystal structure
a = 7.736 Å, b = 7.736 Å, c = 9.103 Å
α = 90.00°, β = 90.00°, γ = 90.00°
Space group P-42c (No. 112)
Symmetry-distinct sites (fractional):
Ag 0.000 0.000 0.000 [2 per cell]
Hg 0.000 0.500 0.250 [2 per cell]
I 0.215 0.275 0.421 [8 per cell]